The following is a computed powder X-ray diffraction pattern of CeHf2MoO8. It was derived from a cell relaxed with GGA+U, using Cu Kα, 1.54184 Å.

Main lines, by intensity (2θ from 10° to 80°):
25.5°, I 100.0, hkl 0 2 0
32.5°, I 43.5, hkl 1 1 -2
32.8°, I 41.8, hkl 1 1 2
36.4°, I 25.6, hkl 2 2 0
49.6°, I 17.5, hkl 1 3 -2
49.8°, I 17.1, hkl 1 3 2
49.5°, I 16.8, hkl 3 1 -2
59.2°, I 16.5, hkl 4 2 0
50.0°, I 16.4, hkl 3 1 2
52.4°, I 16.4, hkl 4 0 0

Structure:
Unit cell a=6.976 b=6.985 c=6.591 alpha=90.00 beta=90.67 gamma=90.00
Space group C2/m (No. 12)
Unique sites:
Ce  0.000  0.000  0.000 [2 per cell]
Hf  0.001  0.500  0.744 [4 per cell]
Mo  0.000  0.000  0.500 [2 per cell]
O  0.000  0.301  0.500 [4 per cell]
O  0.000  0.319  0.000 [4 per cell]
O  0.200  0.000  0.727 [4 per cell]
O  0.203  0.000  0.265 [4 per cell]